1.
Simulated powder XRD pattern
Compound: NaZnPbO4
Radiation: a wavelength of 1.5418 Å
Structure: a crystal structure in Alexandria, relaxed with GGA-PBE

Structural model:
```
data_NaZnPbO4
_chemical_formula_sum 'Na2 Zn2 Pb2 O8'
_cell_length_a 6.4885
_cell_length_b 6.4885
_cell_length_c 6.4885
_cell_angle_alpha 124.81
_cell_angle_beta 116.20
_cell_angle_gamma 89.30
_space_group_name_H-M_alt 'P 1'
_space_group_IT_number 1
_space_group_name_Hall 'P 1'
loop_
_atom_site_label
_atom_site_fract_x
_atom_site_fract_y
_atom_site_fract_z
Na1 0.5000 0.0000 0.0000
Na2 0.5000 0.5000 0.5000
Zn1 0.1083 0.3583 0.7500
Zn2 0.8917 0.6417 0.2500
Pb1 0.0000 0.0000 0.0000
Pb2 0.5000 0.0000 0.5000
O1 0.2282 0.2387 0.9895
O2 0.2480 0.2400 0.4920
O3 0.2480 0.7560 0.0080
O4 0.2507 0.7613 0.4895
O5 0.7493 0.2387 0.5105
O6 0.7520 0.2440 0.9920
O7 0.7520 0.7600 0.5080
O8 0.7718 0.7613 0.0105
```

The 6 most intense peaks (5° ≤ 2θ ≤ 70°), low angle first:
2θ (°), I/Imax
17.61, 85
19.23, 35
29.72, 29
31.56, 100
32.69, 50
57.03, 36

2.
Simulated powder XRD pattern
Compound: Na2ZrPbO6
Radiation: a wavelength of 1.5418 Å
Structure: a crystal structure in Alexandria, relaxed with GGA-PBE

Structural model:
```
data_Na2ZrPbO6
_chemical_formula_sum 'Na2 Zr1 Pb1 O6'
_cell_length_a 5.7565
_cell_length_b 5.7590
_cell_length_c 5.9972
_cell_angle_alpha 61.36
_cell_angle_beta 61.37
_cell_angle_gamma 60.03
_space_group_name_H-M_alt 'P 1'
_space_group_IT_number 1
_space_group_name_Hall 'P 1'
loop_
_atom_site_label
_atom_site_fract_x
_atom_site_fract_y
_atom_site_fract_z
Na1 0.0000 0.0000 0.0000
Na2 0.4990 0.5000 0.5013
Zr1 0.7677 0.7683 0.6953
Pb1 0.2781 0.2787 0.1648
O1 0.0388 0.4340 0.8978
O2 0.1030 0.9389 0.4075
O3 0.4337 0.6290 0.8975
O4 0.5502 0.1048 0.4075
O5 0.6285 0.0382 0.8991
O6 0.9383 0.5505 0.4073
```

The 6 most intense peaks (5° ≤ 2θ ≤ 70°), low angle first:
2θ (°), I/Imax
21.40, 100
29.83, 57
31.06, 49
43.60, 32
48.24, 29
54.50, 23

3.
Simulated powder XRD pattern
Compound: NaPd3O4
Radiation: a wavelength of 1.5418 Å
Structure: a crystal structure in Alexandria, relaxed with GGA-PBE

Structural model:
```
data_NaPd3O4
_chemical_formula_sum 'Na2 Pd6 O8'
_cell_length_a 5.7552
_cell_length_b 5.7552
_cell_length_c 5.7552
_cell_angle_alpha 90.00
_cell_angle_beta 90.00
_cell_angle_gamma 90.00
_space_group_name_H-M_alt 'P 1'
_space_group_IT_number 1
_space_group_name_Hall 'P 1'
loop_
_atom_site_label
_atom_site_fract_x
_atom_site_fract_y
_atom_site_fract_z
Na1 0.0000 0.0000 0.0000
Na2 0.5000 0.5000 0.5000
Pd1 0.0000 0.2500 0.5000
Pd2 0.0000 0.7500 0.5000
Pd3 0.2500 0.5000 0.0000
Pd4 0.5000 0.0000 0.2500
Pd5 0.5000 0.0000 0.7500
Pd6 0.7500 0.5000 0.0000
O1 0.2500 0.2500 0.2500
O2 0.2500 0.2500 0.7500
O3 0.2500 0.7500 0.2500
O4 0.2500 0.7500 0.7500
O5 0.7500 0.2500 0.2500
O6 0.7500 0.2500 0.7500
O7 0.7500 0.7500 0.2500
O8 0.7500 0.7500 0.7500
```

The 6 most intense peaks (5° ≤ 2θ ≤ 70°), low angle first:
2θ (°), I/Imax
21.84, 25
34.86, 100
38.31, 29
55.29, 24
57.76, 23
60.16, 15

4.
Simulated powder XRD pattern
Compound: Na3PdO4
Radiation: a wavelength of 1.5418 Å
Structure: a crystal structure in Alexandria, relaxed with GGA-PBE

Structural model:
```
data_Na3PdO4
_chemical_formula_sum 'Na6 Pd2 O8'
_cell_length_a 5.7608
_cell_length_b 6.5465
_cell_length_c 5.4822
_cell_angle_alpha 90.00
_cell_angle_beta 109.64
_cell_angle_gamma 90.00
_space_group_name_H-M_alt 'P 1'
_space_group_IT_number 1
_space_group_name_Hall 'P 1'
loop_
_atom_site_label
_atom_site_fract_x
_atom_site_fract_y
_atom_site_fract_z
Na1 0.0000 0.1188 0.2500
Na2 0.0000 0.8812 0.7500
Na3 0.5000 0.1218 0.7500
Na4 0.5000 0.3800 0.2500
Na5 0.5000 0.6200 0.7500
Na6 0.5000 0.8782 0.2500
Pd1 0.0000 0.3775 0.7500
Pd2 0.0000 0.6225 0.2500
O1 0.2004 0.3968 0.5035
O2 0.2004 0.6032 0.0035
O3 0.2253 0.1652 0.9647
O4 0.2253 0.8348 0.4647
O5 0.7747 0.1652 0.5353
O6 0.7747 0.8348 0.0353
O7 0.7996 0.3968 0.9965
O8 0.7996 0.6032 0.4965
```

The 6 most intense peaks (5° ≤ 2θ ≤ 70°), low angle first:
2θ (°), I/Imax
13.53, 62
16.34, 82
21.27, 38
33.63, 40
39.14, 100
39.27, 50